AcWO4F: theoretical powder diffraction line list (a wavelength of 1.5418 Å), based on the GGA+U geometry in Alexandria.
Lines closer than 0.1° are merged.

Main lines, in order of rising 2θ (2θ from 10° to 90°):
Position (°2θ)  I (rel.)
12.49  44
18.01  55
22.34  100
24.93  56
26.51  83
28.59  47
33.08  34
33.72  39

Structure:
Cell lengths 6.520, 6.520, 7.434 Å; angles 103.81, 103.81, 75.24 degrees
Atoms (fractional coordinates):
Ac  0.206  0.206  0.119
Ac  0.794  0.794  0.881
W  0.351  0.351  0.727
W  0.649  0.649  0.273
O  0.119  0.478  0.843
O  0.269  0.269  0.476
O  0.467  0.467  0.224
O  0.478  0.119  0.843
O  0.522  0.881  0.157
O  0.533  0.533  0.776
O  0.731  0.731  0.524
O  0.881  0.522  0.157
F  0.016  0.016  0.829
F  0.984  0.984  0.171